# 1
This entry pairs a crystal structure of LiMn2P2O8 with its simulated X-ray diffraction stick pattern. Radiation: Cu Kα, 1.54184 Å. Structure: a cell relaxed with PBE+U.
Kinematic intensities with the Lorentz-polarization factor, no thermal factor.

Crystal structure
```
LiMn2P2O8
1.0
5.056 0.000 0.000
0.000 7.385 0.000
-0.920 0.000 9.383
Li Mn P O
2 4 4 16
direct
0.000 0.224 0.000
0.000 0.776 0.500
0.536 0.287 0.234
0.536 0.713 0.734
0.997 0.287 0.568
0.997 0.713 0.068
0.460 0.481 0.940
0.460 0.519 0.440
0.998 0.033 0.289
0.998 0.967 0.789
0.042 0.056 0.451
0.042 0.944 0.951
0.061 0.167 0.761
0.061 0.833 0.261
0.152 0.179 0.210
0.152 0.821 0.710
0.178 0.485 0.988
0.178 0.515 0.488
0.458 0.455 0.775
0.458 0.545 0.275
0.601 0.326 0.454
0.601 0.674 0.954
0.629 0.339 0.031
0.629 0.661 0.531
0.697 0.058 0.232
0.697 0.942 0.732
```

Most intense lines, 2θ = 10–90°, by intensity:
2theta	Rel. int.
21.37	1000
22.68	798
15.27	650
22.45	481
35.68	451
24.10	435
31.04	359
34.74	296
30.82	294
38.37	222


# 2
This entry pairs a crystal structure of Li3Mn3P4O16 with its simulated X-ray diffraction stick pattern. Radiation: Cu Kα, 1.54184 Å. Structure: a cell relaxed with PBE+U.
Kinematic intensities with the Lorentz-polarization factor, no thermal factor.

Crystal structure
```
Li3Mn3P4O16
1.0
9.343 -3.424 0.000
9.343 3.424 0.000
-0.294 0.000 10.247
Li Mn P O
6 6 8 32
direct
0.027 0.973 0.750
0.344 0.504 0.454
0.496 0.656 0.046
0.504 0.344 0.954
0.656 0.496 0.546
0.973 0.027 0.250
0.000 0.500 0.000
0.153 0.160 0.745
0.160 0.153 0.245
0.500 0.000 0.500
0.840 0.847 0.755
0.847 0.840 0.255
0.096 0.744 0.006
0.256 0.904 0.494
0.293 0.313 0.752
0.313 0.293 0.252
0.687 0.707 0.748
0.707 0.687 0.248
0.744 0.096 0.506
0.904 0.256 0.994
0.034 0.127 0.869
0.048 0.114 0.115
0.114 0.048 0.615
0.127 0.034 0.369
0.156 0.532 0.711
0.159 0.545 0.001
0.186 0.297 0.858
0.187 0.509 0.302
0.197 0.290 0.140
0.290 0.197 0.640
0.292 0.676 0.001
0.297 0.186 0.358
0.324 0.708 0.499
0.455 0.841 0.499
0.468 0.844 0.789
0.491 0.813 0.198
0.509 0.187 0.802
0.532 0.156 0.211
0.545 0.159 0.501
0.676 0.292 0.501
0.703 0.814 0.642
0.708 0.324 0.999
0.710 0.803 0.360
0.803 0.710 0.860
0.813 0.491 0.698
0.814 0.703 0.142
0.841 0.455 0.999
0.844 0.468 0.289
0.873 0.966 0.631
0.886 0.952 0.385
0.952 0.886 0.885
0.966 0.873 0.131
```

Most intense lines, 2θ = 10–90°, by intensity:
2theta	Rel. int.
31.42	1000
16.20	922
16.35	792
13.77	703
19.52	418
33.24	319
35.03	303
20.00	278
29.49	261
34.13	259


# 3
This entry pairs a crystal structure of LiMn2P2O8 with its simulated X-ray diffraction stick pattern. Radiation: Cu Kα, 1.54184 Å. Structure: a cell relaxed with PBE+U.
Kinematic intensities with the Lorentz-polarization factor, no thermal factor.

Crystal structure
```
LiMn2P2O8
1.0
5.310 0.000 0.000
0.000 6.091 0.000
-5.093 0.000 9.469
Li Mn P O
2 4 4 16
direct
0.000 0.124 0.000
0.000 0.876 0.500
0.083 0.377 0.723
0.083 0.623 0.223
0.376 0.154 0.418
0.376 0.846 0.918
0.548 0.102 0.691
0.548 0.898 0.191
0.820 0.394 0.423
0.820 0.606 0.923
0.379 0.078 0.777
0.379 0.922 0.277
0.430 0.070 0.065
0.430 0.930 0.565
0.459 0.317 0.601
0.459 0.683 0.101
0.481 0.402 0.329
0.481 0.598 0.829
0.862 0.176 0.509
0.862 0.824 0.009
0.871 0.106 0.790
0.871 0.894 0.290
0.925 0.418 0.031
0.925 0.582 0.531
0.971 0.380 0.331
0.971 0.620 0.831
```

Most intense lines, 2θ = 10–90°, by intensity:
2theta	Rel. int.
17.31	1000
23.99	600
31.93	371
33.94	284
33.77	239
39.25	234
24.30	216
51.56	208
37.99	175
36.56	159


# 4
This entry pairs a crystal structure of Li4Mn7P6O24 with its simulated X-ray diffraction stick pattern. Radiation: Cu Kα, 1.54184 Å. Structure: a cell relaxed with PBE+U.
Kinematic intensities with the Lorentz-polarization factor, no thermal factor.

Crystal structure
```
Li4Mn7P6O24
1.0
5.598 -7.096 0.000
5.598 7.096 0.000
-1.795 0.000 6.488
Li Mn P O
4 7 6 24
direct
0.000 0.000 0.000
0.243 0.460 0.095
0.460 0.243 0.095
0.675 0.675 0.163
0.202 0.511 0.594
0.219 0.857 0.408
0.498 0.859 0.787
0.511 0.202 0.594
0.856 0.856 0.589
0.857 0.219 0.408
0.859 0.498 0.787
0.141 0.760 0.890
0.179 0.179 0.695
0.534 0.534 0.498
0.572 0.951 0.302
0.760 0.141 0.890
0.951 0.572 0.302
0.055 0.055 0.749
0.098 0.275 0.557
0.120 0.558 0.293
0.144 0.586 0.890
0.195 0.878 0.097
0.242 0.809 0.731
0.275 0.098 0.557
0.291 0.291 0.887
0.422 0.422 0.307
0.440 0.616 0.638
0.473 0.900 0.461
0.524 0.829 0.097
0.558 0.120 0.293
0.586 0.144 0.890
0.616 0.440 0.638
0.657 0.657 0.440
0.749 0.963 0.818
0.751 0.973 0.380
0.809 0.242 0.731
0.829 0.524 0.097
0.878 0.195 0.097
0.900 0.473 0.461
0.963 0.749 0.818
0.973 0.751 0.380
```

Most intense lines, 2θ = 10–90°, by intensity:
2theta	Rel. int.
13.65	1000
31.24	806
32.66	716
23.44	619
12.47	477
50.77	244
36.91	226
40.49	208
38.04	187
40.59	181


# 5
This entry pairs a crystal structure of LiMn2P2O8 with its simulated X-ray diffraction stick pattern. Radiation: Cu Kα, 1.54184 Å. Structure: a cell relaxed with PBE+U.
Kinematic intensities with the Lorentz-polarization factor, no thermal factor.

Crystal structure
```
LiMn2P2O8
1.0
4.869 0.000 0.000
0.015 6.141 0.000
0.117 0.027 10.192
Li Mn P O
2 4 4 16
direct
0.000 0.000 0.000
0.500 0.499 0.501
0.038 0.754 0.719
0.452 0.744 0.216
0.545 0.254 0.785
0.959 0.244 0.282
0.087 0.255 0.601
0.425 0.245 0.095
0.573 0.754 0.906
0.911 0.743 0.399
0.171 0.250 0.456
0.215 0.062 0.680
0.228 0.731 0.382
0.236 0.458 0.662
0.261 0.768 0.896
0.274 0.042 0.160
0.296 0.440 0.172
0.327 0.249 0.950
0.671 0.749 0.051
0.702 0.559 0.829
0.725 0.956 0.842
0.738 0.231 0.105
0.762 0.540 0.338
0.771 0.267 0.618
0.784 0.936 0.321
0.827 0.748 0.545
```

Most intense lines, 2θ = 10–90°, by intensity:
2theta	Rel. int.
29.08	1000
35.54	627
17.40	560
20.12	527
35.22	526
20.30	518
25.00	454
24.85	384
35.71	299
56.18	255


# 6
This entry pairs a crystal structure of LiMn2P2O8 with its simulated X-ray diffraction stick pattern. Radiation: Cu Kα, 1.54184 Å. Structure: a cell relaxed with PBE+U.
Kinematic intensities with the Lorentz-polarization factor, no thermal factor.

Crystal structure
```
LiMn2P2O8
1.0
3.601 -3.471 0.000
3.601 3.471 0.000
-0.218 0.000 7.190
Li Mn P O
1 2 2 8
direct
0.000 0.000 0.000
0.048 0.952 0.500
0.452 0.548 0.000
0.519 0.012 0.244
0.988 0.481 0.756
0.065 0.355 0.569
0.082 0.777 0.769
0.147 0.342 0.924
0.223 0.918 0.231
0.546 0.312 0.210
0.645 0.935 0.431
0.658 0.853 0.076
0.688 0.454 0.790
```

Most intense lines, 2θ = 10–90°, by intensity:
2theta	Rel. int.
21.44	1000
21.87	830
35.95	700
41.43	176
42.12	167
50.76	148
56.46	107
63.05	83
64.47	78
67.35	71


Which formula does entry 1 have?
LiMn2P2O8